Diffraction record for DyAgPtPb. The powder diffraction line list is calculated, not measured: it uses a structure optimized by DFT (GGA-PBE) and Cu Ka.
No peak broadening, texture or thermal motion is included.

Peak list (9 most intense, 2θ from 10° to 80°, in order of rising 2θ)
d [Å]  2θ/deg  Rel. int.
4.056  21.91  4
3.513  25.36  1
2.484  36.16  100
2.118  42.68  2
1.756  52.07  18
1.612  57.15  1
1.434  65.04  36
1.352  69.53  1
1.242  76.74  11

Unit cell a=7.025 b=7.025 c=7.025 alpha=90.00 beta=90.00 gamma=90.00
Space group F-43m (No. 216)
One atom of each set of equivalent atoms:
1 Dy 0.000 0.000 0.000 (multiplicity 4)
2 Ag 0.250 0.250 0.750 (multiplicity 4)
3 Pt 0.250 0.250 0.250 (multiplicity 4)
4 Pb 0.000 0.000 0.500 (multiplicity 4)